For BaNdCo2O6, a GGA+U-relaxed structure gives the simulated powder diffraction line list in this record (Cu Kα (λ = 1.5418 Å)).
Lines closer than 0.1° are merged.

Structural model:
abc: 3.9202 3.9202 7.5376
angles: 90.00 90.00 90.00
Fractional positions:
Ba1 0.0000 0.0000 0.0000
Nd1 0.0000 0.0000 0.5000
Co1 0.5000 0.5000 0.2530
Co2 0.5000 0.5000 0.7470
O1 0.0000 0.5000 0.2734
O2 0.0000 0.5000 0.7266
O3 0.5000 0.0000 0.2734
O4 0.5000 0.0000 0.7266
O5 0.5000 0.5000 0.0000
O6 0.5000 0.5000 0.5000

Top 12 peaks for 2θ = 15–90°, by angle:
2theta  I (rel.)  hkl
22.7  12  1 0 0
32.3  53  1 1 0
33.0  100  1 0 2
40.4  26  1 1 2
46.3  34  2 0 0
48.3  14  0 0 4
58.0  40  2 1 2
59.3  19  1 1 4
67.6  10  2 2 0
69.2  18  2 0 4
76.9  9  3 1 0
87.3  9  2 2 4